(1)
Diffraction record for GeSbS4. The X-ray powder pattern is theoretical, not measured: it uses a structure optimized by DFT (GGA-PBE) and Cu Kα.
Kinematic intensities with the Lorentz-polarization factor, no thermal factor.

The 6 most intense peaks (2θ = 10–90°), in order of rising 2θ:
20.69 deg, rel. 56
23.29 deg, rel. 100
35.02 deg, rel. 31
36.24 deg, rel. 26
37.86 deg, rel. 28
39.34 deg, rel. 21

Structure:
Unit cell a=8.5850 b=5.9865 c=6.0735 alpha=90.00 beta=90.00 gamma=90.00
Sites, in units of the cell vectors:
Ge 0.0000 0.1403 0.0000
Ge 0.5000 0.8597 0.5000
Sb 0.0000 0.5186 0.4044
Sb 0.5000 0.4814 0.9044
S 0.0000 0.1452 0.6375
S 0.0000 0.7710 0.0302
S 0.2007 0.3041 0.1787
S 0.2993 0.6959 0.6787
S 0.5000 0.2290 0.5302
S 0.5000 0.8548 0.1375
S 0.7007 0.6959 0.6787
S 0.7993 0.3041 0.1787

(2)
Diffraction record for YHo5Tm. The X-ray powder pattern is theoretical, not measured: it uses a structure optimized by DFT (GGA-PBE) and Cu Kα.
Kinematic intensities with the Lorentz-polarization factor, no thermal factor.

The 6 most intense peaks (2θ = 10–90°), in order of rising 2θ:
14.86 deg, rel. 84
23.88 deg, rel. 85
26.99 deg, rel. 83
29.97 deg, rel. 100
31.13 deg, rel. 91
43.76 deg, rel. 71

Structure:
Unit cell a=7.8876 b=7.8876 c=7.8876 alpha=137.28 beta=114.09 gamma=81.79
Sites, in units of the cell vectors:
Y 0.0000 0.0000 0.0000
Ho 0.0000 0.5000 0.5000
Ho 0.2452 0.2452 0.0000
Ho 0.3227 0.0000 0.3227
Ho 0.6773 0.0000 0.6773
Ho 0.7548 0.7548 0.0000
Tm 0.5000 0.5000 0.0000

(3)
Diffraction record for Li2AlTeRh. The X-ray powder pattern is theoretical, not measured: it uses a structure optimized by DFT (GGA-PBE) and Cu Kα.
Kinematic intensities with the Lorentz-polarization factor, no thermal factor.

The 6 most intense peaks (2θ = 10–90°), in order of rising 2θ:
17.99 deg, rel. 100
25.54 deg, rel. 64
36.44 deg, rel. 29
40.61 deg, rel. 25
40.92 deg, rel. 24
44.74 deg, rel. 28

Structure:
Unit cell a=4.9316 b=4.9316 c=4.9763 alpha=90.00 beta=90.00 gamma=90.00
Sites, in units of the cell vectors:
Li 0.0000 0.5000 0.0000
Li 0.5000 0.0000 0.0000
Al 0.0000 0.0000 0.5000
Te 0.5000 0.5000 0.0000
Rh 0.5000 0.5000 0.5000